# 1
# NaLiHg2Au
Simulated powder XRD pattern, CuKα. Input: a GGA-PBE-relaxed structure.
Kinematic intensities with the Lorentz-polarization factor, no thermal factor.

The 6 most intense peaks (5 to 70 degrees two-theta), in order of rising 2θ:
hkl  2theta  Rel. int.
1 0 0  17.51  16
1 1 1  31.04  100
2 0 0  35.45  37
0 0 2  37.05  16
2 0 2  52.22  25
3 1 1  60.92  30

Structure:
Unit cell a=5.0639 b=5.0639 c=4.8525 alpha=90.00 beta=90.00 gamma=90.00
Space group P4/mmm (No. 123)
Inequivalent atoms, fractional coordinates:
Na  0.0000  0.0000  0.0000
Li  0.5000  0.5000  0.5000
Hg  0.0000  0.5000  0.5000
Au  0.5000  0.5000  0.0000

# 2
# AcNd3Pd8
Simulated powder XRD pattern, CuKα. Input: a GGA-PBE-relaxed structure.
Kinematic intensities with the Lorentz-polarization factor, no thermal factor.

The 6 most intense peaks (5 to 70 degrees two-theta), in order of rising 2θ:
hkl  2theta  Rel. int.
1 1 0  32.09  42
1 0 3  34.92  82
1 1 2  37.83  100
2 0 1  38.56  75
2 1 3  59.04  35
0 2 5  64.04  31

Structure:
Unit cell a=5.5785 b=5.5785 c=9.1038 alpha=90.00 beta=90.00 gamma=120.00
Space group P3m1 (No. 156)
Inequivalent atoms, fractional coordinates:
Ac  0.0000  0.0000  0.0000
Nd  0.0000  0.0000  0.3762
Nd  0.6667  0.3333  0.4935
Nd  0.6667  0.3333  0.8613
Pd  0.1658  0.3315  0.6811
Pd  0.3333  0.6667  0.4339
Pd  0.3333  0.6667  0.9336
Pd  0.5017  0.0034  0.1872

# 3
# AcCdSnPb
Simulated powder XRD pattern, CuKα. Input: a GGA-PBE-relaxed structure.
Kinematic intensities with the Lorentz-polarization factor, no thermal factor.

The 6 most intense peaks (5 to 70 degrees two-theta), in order of rising 2θ:
hkl  2theta  Rel. int.
1 1 1  31.38  100
0 0 2  35.61  18
0 2 0  36.18  17
2 0 0  37.35  16
1 1 3  61.33  15
1 3 1  62.09  15

Structure:
Unit cell a=4.8152 b=4.9650 c=5.0420 alpha=90.00 beta=90.00 gamma=90.00
Space group Pmmm (No. 47)
Inequivalent atoms, fractional coordinates:
Ac  0.0000  0.0000  0.0000
Cd  0.0000  0.5000  0.5000
Sn  0.5000  0.5000  0.0000
Pb  0.5000  0.0000  0.5000

# 4
# Nb5Mo4W2
Simulated powder XRD pattern, CuKα. Input: a GGA-PBE-relaxed structure.
Kinematic intensities with the Lorentz-polarization factor, no thermal factor.

The 6 most intense peaks (5 to 70 degrees two-theta), in order of rising 2θ:
hkl  2theta  Rel. int.
1 3 0  38.50  90
1 2 3  39.13  54
2 0 0  39.99  60
0 2 4  40.53  44
1 1 4  41.01  100
2 2 4  58.25  30

Structure:
Unit cell a=4.5088 b=8.2056 c=10.5989 alpha=90.00 beta=90.00 gamma=90.00
Space group Immm (No. 71)
Inequivalent atoms, fractional coordinates:
Nb  0.0000  0.0000  0.0000
Nb  0.0000  0.1761  0.2228
Mo  0.0000  0.1932  0.5000
Mo  0.0000  0.5000  0.1121
W  0.0000  0.5000  0.3618

# 5
# Tl2Hg3Pb
Simulated powder XRD pattern, CuKα. Input: a GGA-PBE-relaxed structure.
Kinematic intensities with the Lorentz-polarization factor, no thermal factor.

The 6 most intense peaks (5 to 70 degrees two-theta), in order of rising 2θ:
hkl  2theta  Rel. int.
0 3 1  29.68  48
1 0 2  31.32  96
1 3 1  34.78  100
2 0 0  35.90  40
2 3 1  47.25  27
1 6 2  64.67  22

Structure:
Unit cell a=5.0023 b=10.0165 c=6.9569 alpha=90.00 beta=90.00 gamma=90.00
Space group Pmc2_1 (No. 26)
Inequivalent atoms, fractional coordinates:
Tl  0.0000  0.0783  0.0000
Tl  0.5000  0.2357  0.7347
Hg  0.0000  0.2641  0.4511
Hg  0.0000  0.4154  0.9276
Hg  0.5000  0.0890  0.2788
Pb  0.5000  0.4139  0.2217

# 6
# BaScBi3
Simulated powder XRD pattern, CuKα. Input: a GGA-PBE-relaxed structure.
Kinematic intensities with the Lorentz-polarization factor, no thermal factor.

The 6 most intense peaks (5 to 70 degrees two-theta), in order of rising 2θ:
hkl  2theta  Rel. int.
3 1 1  25.55  36
1 0 2  25.98  46
2 0 2  27.88  40
4 1 1  29.88  100
2 2 0  30.11  68
0 2 2  37.90  42

Structure:
Unit cell a=15.4002 b=6.4339 c=7.0371 alpha=90.00 beta=90.00 gamma=90.00
Space group Pbcm (No. 57)
Inequivalent atoms, fractional coordinates:
Ba  0.1884  0.0063  0.2500
Sc  0.4127  0.7500  0.0000
Bi  0.0023  0.7500  0.0000
Bi  0.2917  0.0027  0.7500
Bi  0.4331  0.1375  0.2500

# 7
# Np3PaTl3Te8
Simulated powder XRD pattern, CuKα. Input: a GGA-PBE-relaxed structure.
Kinematic intensities with the Lorentz-polarization factor, no thermal factor.

The 6 most intense peaks (5 to 70 degrees two-theta), in order of rising 2θ:
hkl  2theta  Rel. int.
0 0 1  10.72  13
4 0 0  27.21  100
2 2 2  37.23  39
6 2 -2  40.40  24
0 4 0  40.50  12
4 4 0  49.46  13

Structure:
Unit cell a=15.4813 b=8.9087 c=9.7278 alpha=90.00 beta=122.00 gamma=90.00
Space group C2/m (No. 12)
Inequivalent atoms, fractional coordinates:
Np  0.0000  0.0000  0.0000
Np  0.2500  0.2500  0.0000
Pa  0.0000  0.5000  0.0000
Tl  0.0000  0.5000  0.5000
Tl  0.2500  0.2500  0.5000
Te  0.0103  0.2559  0.7861
Te  0.2342  0.5000  0.2120
Te  0.2389  0.0000  0.2158

> Which formula does entry 7 have?

Np3PaTl3Te8